1.
Diffraction record for Tb2PPt5. The powder diffractogram is simulated, not measured: it uses a structure optimized by DFT (PBE) and Cu Ka.

Cell and atoms:
Lattice parameters (Å, degrees): 5.7943 5.7943 8.7926 90.00 90.00 90.00
Space group I4mm (No. 107)
Unique sites:
Tb 0.0000 0.5000 0.0000 [4 per cell]
P 0.0000 0.0000 0.1385 [2 per cell]
Pt 0.0000 0.0000 0.5062 [2 per cell]
Pt 0.2411 0.2411 0.7561 [8 per cell]

The 6 most intense peaks (2θ from 10° to 90°), by angle:
2theta  intensity
37.17  100
41.06  18
44.21  32
61.92  22
72.25  15
76.68  24

---

2.
Diffraction record for In4Ag5Hg. The powder diffractogram is simulated, not measured: it uses a structure optimized by DFT (PBE) and Cu Ka.

Cell and atoms:
Lattice parameters (Å, degrees): 5.0761 6.0644 7.3146 86.02 77.30 81.02
Space group P1 (No. 1)
Unique sites:
In 0.0000 0.0000 0.0000 [1 per cell]
In 0.1145 0.0675 0.5449 [1 per cell]
In 0.4424 0.5278 0.8629 [1 per cell]
In 0.8771 0.4846 0.1420 [1 per cell]
Ag 0.2997 0.6985 0.2507 [1 per cell]
Ag 0.4180 0.1829 0.1648 [1 per cell]
Ag 0.5662 0.0013 0.7933 [1 per cell]
Ag 0.5656 0.3482 0.4947 [1 per cell]
Ag 0.7054 0.8664 0.4004 [1 per cell]
Hg 0.0006 0.5663 0.6450 [1 per cell]

The 6 most intense peaks (2θ from 10° to 90°), by angle:
2theta  intensity
33.24  56
36.15  84
37.41  56
38.07  100
38.30  79
38.43  78

---

3.
Diffraction record for Pr3Sn3Au8. The powder diffractogram is simulated, not measured: it uses a structure optimized by DFT (PBE) and Cu Ka.

Cell and atoms:
Lattice parameters (Å, degrees): 4.6753 10.0426 13.8987 90.00 90.00 90.00
Space group Immm (No. 71)
Unique sites:
Pr 0.0000 0.0000 0.0000 [2 per cell]
Pr 0.0000 0.0000 0.2980 [4 per cell]
Sn 0.0000 0.2191 0.5000 [4 per cell]
Sn 0.0000 0.5000 0.0000 [2 per cell]
Au 0.0000 0.2845 0.1367 [8 per cell]
Au 0.0000 0.3656 0.3325 [8 per cell]

The 6 most intense peaks (2θ from 10° to 90°), by angle:
2theta  intensity
31.31  28
32.53  100
32.91  55
35.42  30
38.51  60
38.88  30

---

4.
Diffraction record for TbHg4. The powder diffractogram is simulated, not measured: it uses a structure optimized by DFT (PBE) and Cu Ka.

Cell and atoms:
Lattice parameters (Å, degrees): 5.2843 5.4923 9.3177 90.00 90.14 90.00
Space group P2_1/c (No. 14)
Unique sites:
Tb 0.0000 0.0000 0.0000 [2 per cell]
Hg 0.0002 0.0043 0.3389 [4 per cell]
Hg 0.5004 0.1646 0.1538 [4 per cell]

The 6 most intense peaks (2θ from 10° to 90°), by angle:
2theta  intensity
30.31  33
33.93  52
36.89  51
37.36  100
58.52  27
69.40  26

---

5.
Diffraction record for Ca3Sn2Pd6. The powder diffractogram is simulated, not measured: it uses a structure optimized by DFT (PBE) and Cu Ka.

Cell and atoms:
Lattice parameters (Å, degrees): 9.8117 9.8117 9.8117 90.00 90.00 90.00
Space group Im-3m (No. 229)
Unique sites:
Ca 0.0000 0.0000 0.3043 [12 per cell]
Sn 0.2500 0.2500 0.2500 [8 per cell]
Pd 0.0000 0.3317 0.3317 [24 per cell]

The 6 most intense peaks (2θ from 10° to 90°), by angle:
2theta  intensity
12.76  54
34.19  28
38.94  100
41.14  42
45.28  26
70.53  31

---

6.
Diffraction record for Sm2HoSi3Pt12. The powder diffractogram is simulated, not measured: it uses a structure optimized by DFT (PBE) and Cu Ka.

Cell and atoms:
Lattice parameters (Å, degrees): 8.3334 8.3334 17.9146 90.00 90.00 120.00
Space group R-3m (No. 166, hexagonal axes)
Unique sites:
Sm 0.0000 0.0000 0.0981 [6 per cell]
Ho 0.0000 0.0000 0.5000 [3 per cell]
Si 0.0000 0.5000 0.0000 [9 per cell]
Pt 0.0310 0.5155 0.8688 [18 per cell]
Pt 0.0322 0.5161 0.3669 [18 per cell]

The 6 most intense peaks (2θ from 10° to 90°), by angle:
2theta  intensity
23.38  17
31.85  100
34.37  27
43.44  62
47.80  40
54.86  17

---

7.
Diffraction record for ZrTa2Ag. The powder diffractogram is simulated, not measured: it uses a structure optimized by DFT (PBE) and Cu Ka.

Cell and atoms:
Lattice parameters (Å, degrees): 3.4180 3.4180 6.6132 90.00 90.00 90.00
Space group P4mm (No. 99)
Unique sites:
Zr 0.0000 0.0000 0.0000 [1 per cell]
Ta 0.0000 0.0000 0.5272 [1 per cell]
Ta 0.5000 0.5000 0.7419 [1 per cell]
Ag 0.5000 0.5000 0.2682 [1 per cell]

The 6 most intense peaks (2θ from 10° to 90°), by angle:
2theta  intensity
13.39  19
37.20  54
37.86  100
53.63  19
67.51  36
68.80  15